Computed powder diffractogram
Compound: Sm8Dy3
Radiation: copper Kα
Structure: the GGA-PBE geometry in Alexandria
Kinematic intensities with the Lorentz-polarization factor, no thermal factor.

Principal peaks in the range 10 to 80 degrees two-theta, by angle:
- 2θ 26.79, rel. 18
- 2θ 28.18, rel. 50
- 2θ 28.72, rel. 100
- 2θ 30.92, rel. 34
- 2θ 39.27, rel. 31
- 2θ 42.04, rel. 34
- 2θ 49.46, rel. 14
- 2θ 55.18, rel. 15
- 2θ 59.48, rel. 14
- 2θ 79.82, rel. 11

Atomic structure:
```
11
Lattice="4.8753 2.8148 4.5547 -4.8753 2.8148 4.5547 0.0000 -5.6295 4.5547" Properties=species:S:1:pos:R:3 pbc="T T T"
Sm 0.0000 0.0000 1.5775
Sm -0.7595 -1.9397 5.2789
Sm -1.3001 1.6276 5.2789
Sm -2.0596 -0.3121 8.3853
Sm 2.0596 0.3121 5.2789
Sm 1.3001 -1.6276 8.3853
Sm 0.7595 1.9397 8.3853
Sm 0.0000 0.0000 12.0867
Dy -4.8753 0.0000 6.8321
Dy -2.4377 1.4074 2.2774
Dy 2.4377 1.4074 2.2774
```


Computed powder diffractogram
Compound: Sm5Dy
Radiation: copper Kα
Structure: the GGA-PBE geometry in Alexandria
Kinematic intensities with the Lorentz-polarization factor, no thermal factor.

Principal peaks in the range 10 to 80 degrees two-theta, by angle:
- 2θ 30.30, rel. 100
- 2θ 35.12, rel. 51
- 2θ 50.50, rel. 30
- 2θ 50.60, rel. 6
- 2θ 60.02, rel. 29
- 2θ 60.11, rel. 14
- 2θ 63.02, rel. 12
- 2θ 74.15, rel. 2
- 2θ 74.28, rel. 4

Atomic structure:
```
12
Lattice="5.1149 0.0000 0.0000 0.0000 10.8242 0.0000 0.0000 0.0000 7.2296" Properties=species:S:1:pos:R:3 pbc="T T T"
Sm 1.2787 0.8999 0.8996
Sm 1.2787 0.9099 4.5242
Sm 1.2787 4.5022 4.5242
Sm 1.2787 4.5122 0.8996
Sm 1.2787 8.1182 4.5224
Sm 3.8362 2.7061 2.7073
Sm 3.8362 6.3120 6.3300
Sm 3.8362 6.3220 2.7054
Sm 3.8362 9.9143 2.7054
Sm 3.8362 9.9243 6.3300
Dy 1.2787 8.1182 0.8970
Dy 3.8362 2.7061 6.3327
```


Computed powder diffractogram
Compound: SmDy3
Radiation: copper Kα
Structure: the GGA-PBE geometry in Alexandria
Kinematic intensities with the Lorentz-polarization factor, no thermal factor.

Principal peaks in the range 10 to 80 degrees two-theta, by angle:
- 2θ 28.34, rel. 24
- 2θ 31.53, rel. 24
- 2θ 32.52, rel. 100
- 2θ 42.90, rel. 16
- 2θ 50.18, rel. 20
- 2θ 56.77, rel. 21
- 2θ 60.48, rel. 23
- 2θ 61.08, rel. 17
- 2θ 68.10, rel. 4
- 2θ 79.14, rel. 8

Atomic structure:
```
4
Lattice="3.6379 0.0000 0.0000 0.0000 5.6752 0.0000 0.0000 0.0000 6.2951" Properties=species:S:1:pos:R:3 pbc="T T T"
Sm 0.0000 0.0000 0.0000
Dy 0.0000 2.8376 2.1080
Dy 1.8189 0.0000 3.1559
Dy 1.8189 2.8376 5.2498
```


Computed powder diffractogram
Compound: Sm3Dy4
Radiation: copper Kα
Structure: the GGA-PBE geometry in Alexandria
Kinematic intensities with the Lorentz-polarization factor, no thermal factor.

Principal peaks in the range 10 to 80 degrees two-theta, by angle:
- 2θ 30.60, rel. 100
- 2θ 35.48, rel. 17
- 2θ 35.49, rel. 34
- 2θ 51.06, rel. 36
- 2θ 60.71, rel. 43
- 2θ 63.72, rel. 12
- 2θ 75.10, rel. 6

Atomic structure:
```
7
Lattice="5.6568 -2.5296 0.0000 5.6568 2.5296 0.0000 -1.1339 0.0000 7.9197" Properties=species:S:1:pos:R:3 pbc="T T T"
Sm 0.0000 0.0000 0.0000
Sm 2.2669 0.0000 6.7755
Sm 7.9128 0.0000 1.1443
Dy 1.1258 0.0000 3.3995
Dy 4.5160 0.0000 2.2847
Dy 5.6637 0.0000 5.6350
Dy 9.0540 0.0000 4.5202
```


Computed powder diffractogram
Compound: Sm4Dy5
Radiation: copper Kα
Structure: the GGA-PBE geometry in Alexandria
Kinematic intensities with the Lorentz-polarization factor, no thermal factor.

Principal peaks in the range 10 to 80 degrees two-theta, by angle:
- 2θ 28.90, rel. 19
- 2θ 30.00, rel. 94
- 2θ 31.88, rel. 100
- 2θ 32.41, rel. 28
- 2θ 32.99, rel. 92
- 2θ 34.88, rel. 21
- 2θ 52.34, rel. 33
- 2θ 53.73, rel. 19
- 2θ 59.35, rel. 27
- 2θ 62.36, rel. 22

Atomic structure:
```
9
Lattice="-1.8268 6.0863 6.5795 1.8268 -6.0863 6.5795 1.8268 6.0863 -6.5795" Properties=species:S:1:pos:R:3 pbc="T T T"
Sm 1.8268 4.3421 -4.0918
Sm 0.0000 1.7442 2.4877
Sm 1.8268 4.3421 4.0918
Sm 0.0000 1.7442 10.6714
Dy 1.8268 0.0000 0.0000
Dy 1.8268 3.5861 0.0000
Dy 1.8268 0.0000 4.9291
Dy 0.0000 6.0863 1.6504
Dy 0.0000 2.5002 6.5795
```


Computed powder diffractogram
Compound: Sm3Dy8
Radiation: copper Kα
Structure: the GGA-PBE geometry in Alexandria
Kinematic intensities with the Lorentz-polarization factor, no thermal factor.

Principal peaks in the range 10 to 80 degrees two-theta, by angle:
- 2θ 30.74, rel. 100
- 2θ 35.65, rel. 51
- 2θ 51.24, rel. 18
- 2θ 51.36, rel. 18
- 2θ 60.98, rel. 32
- 2θ 61.10, rel. 10
- 2θ 63.98, rel. 9
- 2θ 64.18, rel. 3
- 2θ 75.50, rel. 6

Atomic structure:
```
11
Lattice="1.7827 1.0293 31.9236 -1.7827 1.0293 31.9236 0.0000 -2.0585 31.9236" Properties=species:S:1:pos:R:3 pbc="T T T"
Sm 0.0000 0.0000 0.0000
Sm 0.0000 0.0000 26.0781
Sm 0.0000 0.0000 69.6928
Dy 0.0000 0.0000 8.7737
Dy 0.0000 0.0000 17.4010
Dy 0.0000 0.0000 34.8468
Dy 0.0000 0.0000 43.5702
Dy 0.0000 0.0000 52.2007
Dy 0.0000 0.0000 60.9241
Dy 0.0000 0.0000 78.3699
Dy 0.0000 0.0000 86.9973
```